Theoretical PXRD pattern
Compound: TbCO4
Radiation: Cu Kα, 1.54184 Å
Structure: DFT lattice parameters and positions (PBE)
Kinematic intensities with the Lorentz-polarization factor, no thermal factor.

Peak list (10 most intense, 10 to 90 degrees two-theta, sorted by position)
16.0 deg, rel. 646, hkl 0 1 1; 20.8 deg, rel. 1000, hkl 1 0 1; 23.8 deg, rel. 366, hkl 0 1 2; 24.2 deg, rel. 521, hkl 1 1 1; 26.9 deg, rel. 481, hkl 0 2 1; 30.1 deg, rel. 338, hkl 1 1 2; 30.9 deg, rel. 623, hkl 1 2 0; 38.0 deg, rel. 438, hkl 1 1 3; 46.1 deg, rel. 352, hkl 2 2 1; 55.6 deg, rel. 342, hkl 1 0 5

abc: 4.8940 7.1694 8.7782
angles: 90.00 90.00 90.00
Space group P2_12_12_1 (No. 19)
Asymmetric unit:
Tb 0.0280 0.1219 0.1600 (multiplicity 4)
C 0.0072 0.0485 0.8249 (multiplicity 4)
O 0.0363 0.8080 0.1401 (multiplicity 4)
O 0.0418 0.4505 0.7935 (multiplicity 4)
O 0.1814 0.6170 0.5879 (multiplicity 4)
O 0.2373 0.9240 0.3657 (multiplicity 4)

=====

Theoretical PXRD pattern
Compound: TbCO3
Radiation: Cu Kα, 1.54184 Å
Structure: DFT lattice parameters and positions (PBE)
Kinematic intensities with the Lorentz-polarization factor, no thermal factor.

Peak list (10 most intense, 10 to 90 degrees two-theta, sorted by position)
21.2 deg, rel. 163, hkl 0 1 1; 27.1 deg, rel. 1000, hkl 1 1 1; 27.8 deg, rel. 463, hkl 1 0 -2; 33.7 deg, rel. 171, hkl 2 0 0; 36.7 deg, rel. 161, hkl 0 2 0; 38.2 deg, rel. 261, hkl 0 1 3; 40.2 deg, rel. 149, hkl 2 1 -1; 46.7 deg, rel. 342, hkl 1 2 -2; 51.9 deg, rel. 147, hkl 2 1 3; 56.4 deg, rel. 169, hkl 3 1 -1

abc: 5.3190 4.8919 8.0688
angles: 90.00 90.12 90.00
Space group P2_1/m (No. 11)
Asymmetric unit:
Tb 0.2433 0.2500 0.1000 (multiplicity 2)
Tb 0.2503 0.7500 0.5674 (multiplicity 2)
C 0.1931 0.2500 0.7480 (multiplicity 2)
C 0.4915 0.2500 0.7549 (multiplicity 2)
O 0.1124 0.0141 0.8270 (multiplicity 4)
O 0.1240 0.2500 0.5781 (multiplicity 2)
O 0.4180 0.5159 0.3280 (multiplicity 4)
O 0.4225 0.7500 0.0831 (multiplicity 2)

=====

Theoretical PXRD pattern
Compound: TcC5O5
Radiation: Cu Kα, 1.54184 Å
Structure: DFT lattice parameters and positions (PBE)
Kinematic intensities with the Lorentz-polarization factor, no thermal factor.

Peak list (10 most intense, 10 to 90 degrees two-theta, sorted by position)
12.2 deg, rel. 536, hkl 2 0 0; 12.4 deg, rel. 184, hkl 2 0 -2; 13.7 deg, rel. 1000, hkl 1 1 -1; 14.9 deg, rel. 547, hkl 0 0 2; 17.3 deg, rel. 759, hkl 1 1 1; 27.9 deg, rel. 189, hkl 5 1 -3; 28.9 deg, rel. 312, hkl 0 2 2; 29.4 deg, rel. 474, hkl 1 1 3; 30.8 deg, rel. 454, hkl 6 0 -4; 39.3 deg, rel. 227, hkl 1 3 1

abc: 18.0524 7.2441 14.7636
angles: 90.00 126.59 90.00
Space group C2/c (No. 15)
Asymmetric unit:
Tc 0.0702 0.2299 0.2230 (multiplicity 8)
C 0.0238 0.0176 0.6512 (multiplicity 8)
C 0.0312 0.3408 0.4251 (multiplicity 8)
C 0.1041 0.4821 0.2933 (multiplicity 8)
C 0.1539 0.1109 0.3744 (multiplicity 8)
C 0.1629 0.2380 0.1958 (multiplicity 8)
O 0.0030 0.1588 0.8946 (multiplicity 8)
O 0.0907 0.3997 0.5124 (multiplicity 8)
O 0.1225 0.3708 0.8315 (multiplicity 8)
O 0.2027 0.0411 0.4620 (multiplicity 8)
O 0.2209 0.2436 0.1837 (multiplicity 8)

=====

Theoretical PXRD pattern
Compound: Tl5C4O6
Radiation: Cu Kα, 1.54184 Å
Structure: DFT lattice parameters and positions (PBE)
Kinematic intensities with the Lorentz-polarization factor, no thermal factor.

Peak list (10 most intense, 10 to 90 degrees two-theta, sorted by position)
23.0 deg, rel. 273, hkl 1 1 3; 23.6 deg, rel. 523, hkl 3 1 2; 24.3 deg, rel. 288, hkl 1 3 1; 28.4 deg, rel. 884, hkl 3 1 3; 29.5 deg, rel. 1000, hkl 3 3 1; 31.3 deg, rel. 326, hkl 4 2 2; 31.8 deg, rel. 282, hkl 0 2 4; 33.3 deg, rel. 336, hkl 0 4 2; 35.5 deg, rel. 312, hkl 6 0 0; 48.4 deg, rel. 273, hkl 7 3 1

abc: 15.1671 11.8571 12.7739
angles: 90.00 90.00 90.00
Space group Cmce (No. 64)
Asymmetric unit:
Tl 0.0000 0.2396 0.2082 (multiplicity 8)
Tl 0.1559 0.0187 0.3416 (multiplicity 16)
Tl 0.1580 0.1578 0.9675 (multiplicity 16)
C 0.0000 0.0134 0.8701 (multiplicity 8)
C 0.0000 0.1354 0.4729 (multiplicity 8)
C 0.2158 0.2440 0.2788 (multiplicity 16)
O 0.0000 0.0883 0.3800 (multiplicity 8)
O 0.0000 0.1139 0.9123 (multiplicity 8)
O 0.0747 0.0358 0.1503 (multiplicity 16)
O 0.0749 0.1576 0.5179 (multiplicity 16)